Structure and theoretical powder X-ray diffraction pattern of KMgCo2Mo2O10 (a structure optimized by DFT (PBE+U); copper Kα).

```
KMgCo2Mo2O10
1.0
6.018 0.000 0.000
2.917 5.374 0.000
2.868 1.751 7.584
K Mg Co Mo O
1 1 2 2 10
Direct
0.000 0.000 0.000 K
0.001 0.478 0.490 Mg
0.495 0.969 0.500 Co
0.970 0.993 0.513 Co
0.409 0.396 0.755 Mo
0.583 0.546 0.241 Mo
0.186 0.149 0.402 O
0.234 0.673 0.307 O
0.271 0.744 0.692 O
0.277 0.272 0.658 O
0.335 0.290 0.983 O
0.678 0.612 0.011 O
0.711 0.683 0.333 O
0.715 0.199 0.325 O
0.762 0.267 0.674 O
0.810 0.781 0.598 O
```

Largest 10 diffraction maxima, sorted by position, 2θ from 10° to 90°:
index	Position (°2θ)	I_rel
0 0 1	11.7	81.5
1 1 0	18.6	31.1
0 1 -1	22.7	30.5
0 1 2	25.7	100.0
1 0 2	26.0	35.7
1 -1 0	28.8	27.5
1 2 1	29.2	26.0
0 1 -2	32.1	56.9
0 2 1	33.6	23.3
2 0 1	34.2	32.3